MgTe4Mo3WSe2S2: simulated powder X-ray diffraction pattern (a wavelength of 1.5418 Å), based on a crystal structure in the Materials Project, relaxed with GGA-PBE.
Intensities are scaled so that the largest is 100.

Cell lengths 3.3856, 3.3862, 38.5977 Å; angles 90.00, 89.99, 60.01 degrees
Space group P1 (No. 1)
Unique sites:
1 Mg 0.0000 0.0000 0.0000 [1 per cell]
2 Te 0.9920 0.0252 0.1759 [1 per cell]
3 Te 0.9919 0.0252 0.2732 [1 per cell]
4 Te 0.9920 0.0253 0.5516 [1 per cell]
5 Te 0.9919 0.0253 0.6489 [1 per cell]
6 Mo 0.3253 0.3586 0.2245 [1 per cell]
7 Mo 0.3253 0.3587 0.6003 [1 per cell]
8 Mo 0.9920 0.0252 0.7883 [1 per cell]
9 W 0.9921 0.0252 0.4124 [1 per cell]
10 Se 0.3254 0.3585 0.7454 [1 per cell]
11 Se 0.3253 0.3585 0.8311 [1 per cell]
12 S 0.3254 0.3587 0.3734 [1 per cell]
13 S 0.3253 0.3587 0.4515 [1 per cell]

Top 10 peaks for 10° ≤ 2θ ≤ 90°, by angle:
2θ/deg  I/Imax
11.46  100.0
18.39  13.5
30.51  64.4
32.67  13.2
35.84  96.1
43.37  50.8
45.14  16.8
54.18  34.2
66.67  15.3
76.50  15.1

=====

MgTe4Mo3WSe2S2: simulated powder X-ray diffraction pattern (a wavelength of 1.5418 Å), based on a crystal structure in the Materials Project, relaxed with GGA-PBE.
Intensities are scaled so that the largest is 100.

Cell lengths 3.4028, 3.4028, 45.1933 Å; angles 90.00, 90.00, 120.00 degrees
Space group P3m1 (No. 156)
Unique sites:
1 Mg 0.0000 0.0000 0.0000 [1 per cell]
2 Te 0.3333 0.6667 0.4166 [1 per cell]
3 Te 0.3333 0.6667 0.5000 [1 per cell]
4 Te 0.6667 0.3333 0.8467 [1 per cell]
5 Te 0.6667 0.3333 0.9297 [1 per cell]
6 Mo 0.3333 0.6667 0.2703 [1 per cell]
7 Mo 0.3333 0.6667 0.8880 [1 per cell]
8 Mo 0.6667 0.3333 0.0893 [1 per cell]
9 W 0.6667 0.3333 0.4583 [1 per cell]
10 Se 0.6667 0.3333 0.2339 [1 per cell]
11 Se 0.6667 0.3333 0.3068 [1 per cell]
12 S 0.3333 0.6667 0.0557 [1 per cell]
13 S 0.3333 0.6667 0.1221 [1 per cell]

Top 10 peaks for 10° ≤ 2θ ≤ 90°, by angle:
2θ/deg  I/Imax
11.75  37.1
30.34  53.2
31.94  26.4
34.32  75.1
36.40  21.0
37.56  31.1
40.11  100.0
53.89  37.7
54.90  19.9
69.26  19.5

=====

MgTe4Mo3WSe2S2: simulated powder X-ray diffraction pattern (a wavelength of 1.5418 Å), based on a crystal structure in the Materials Project, relaxed with GGA-PBE.
Intensities are scaled so that the largest is 100.

Cell lengths 5.8847, 3.3978, 38.6703 Å; angles 90.00, 90.00, 90.00 degrees
Space group Cm (No. 8)
Unique sites:
1 Mg 0.0000 0.0000 0.0000 [2 per cell]
2 Te 0.4956 0.5000 0.1750 [2 per cell]
3 Te 0.4956 0.5000 0.2724 [2 per cell]
4 Te 0.4956 0.5000 0.5510 [2 per cell]
5 Te 0.4956 0.5000 0.6478 [2 per cell]
6 Mo 0.1622 0.5000 0.5994 [2 per cell]
7 Mo 0.4956 0.5000 0.4116 [2 per cell]
8 Mo 0.4956 0.5000 0.7873 [2 per cell]
9 W 0.1622 0.5000 0.2237 [2 per cell]
10 Se 0.1623 0.5000 0.7447 [2 per cell]
11 Se 0.1623 0.5000 0.8299 [2 per cell]
12 S 0.1623 0.5000 0.3727 [2 per cell]
13 S 0.1623 0.5000 0.4504 [2 per cell]

Top 10 peaks for 10° ≤ 2θ ≤ 90°, by angle:
2θ/deg  I/Imax
11.44  100.0
30.39  49.6
35.72  95.5
38.44  20.9
39.96  17.1
43.25  50.9
45.02  14.5
53.98  33.3
66.42  15.2
76.25  15.1